Structure and theoretical XRD peak list of LiGaRhO4 (a crystal structure in Alexandria, relaxed with PBE; CuKα).

Structural model:
Lattice parameters (Å, degrees): 6.0300 6.0300 6.0300 120.78 119.53 89.74
Sites, in units of the cell vectors:
Li 0.3830 0.1330 0.2500
Li 0.6170 0.8670 0.7500
Ga 0.0000 0.0000 0.5000
Ga 0.0000 0.5000 0.0000
Rh 0.0000 0.5000 0.5000
Rh 0.5000 0.5000 0.0000
O 0.2085 0.7354 0.4731
O 0.2377 0.2603 0.5227
O 0.2377 0.2646 0.9731
O 0.2377 0.7150 0.9773
O 0.7623 0.2850 0.0227
O 0.7623 0.7354 0.0269
O 0.7623 0.7397 0.4773
O 0.7915 0.2646 0.5269

Top 10 peaks for 10° ≤ 2θ ≤ 90°, sorted by position:
| Position (°2θ) | intensity |
| --- | --- |
| 17.92 | 50.7 |
| 18.15 | 100.0 |
| 34.78 | 44.8 |
| 34.91 | 17.3 |
| 35.15 | 16.8 |
| 36.29 | 18.9 |
| 36.77 | 17.8 |
| 42.30 | 24.6 |
| 42.51 | 48.7 |
| 61.52 | 31.2 |

Structure and theoretical XRD peak list of LiTaGa2O6 (a crystal structure in Alexandria, relaxed with PBE; CuKα).

Structural model:
Lattice parameters (Å, degrees): 5.5280 5.5280 5.5280 55.40 55.40 55.40
Sites, in units of the cell vectors:
Li 0.0000 0.0000 0.0000
Ta 0.4938 0.4938 0.4938
Ga 0.2868 0.2868 0.2868
Ga 0.7754 0.7754 0.7754
O 0.0874 0.6691 0.4115
O 0.2022 0.5626 0.8886
O 0.4115 0.0874 0.6691
O 0.5626 0.8886 0.2022
O 0.6691 0.4115 0.0874
O 0.8886 0.2022 0.5626

Top 10 peaks for 10° ≤ 2θ ≤ 90°, sorted by position:
| Position (°2θ) | intensity |
| --- | --- |
| 19.03 | 33.6 |
| 20.95 | 100.0 |
| 32.56 | 79.4 |
| 34.92 | 65.3 |
| 37.98 | 21.1 |
| 40.06 | 35.4 |
| 48.48 | 30.8 |
| 53.03 | 31.6 |
| 61.13 | 29.0 |
| 62.62 | 23.5 |